# Hg2GeAuS4
Computed X-ray powder pattern, Cu Kα X-rays. Input: DFT lattice parameters and positions (PBE).

Crystal structure
```
data_Hg2GeAuS4
_chemical_formula_sum 'Hg4 Ge2 Au2 S8'
_cell_length_a 8.443
_cell_length_b 7.265
_cell_length_c 6.703
_cell_angle_alpha 90.00
_cell_angle_beta 90.00
_cell_angle_gamma 90.00
_symmetry_space_group_name_H-M 'P m n 21'
_symmetry_Int_Tables_number 31
_symmetry_space_group_name_Hall 'P 2ac -2'
loop_
_atom_site_label
_atom_site_fract_x
_atom_site_fract_y
_atom_site_fract_z
Hg1 0.246 0.199 0.000
Ge1 0.000 0.676 0.023
Au1 0.000 0.214 0.446
S1 0.000 0.382 0.878
S2 0.000 0.638 0.368
S3 0.231 0.843 0.897
```

Principal peaks in the range 10° ≤ 2θ ≤ 90°, by angle:
(hkl)	2theta	Rel. int.
0 2 0	24.51	37
0 0 2	26.60	44
2 1 1	27.83	100
0 2 2	36.46	26
4 0 0	42.84	20
2 3 1	45.24	17
2 1 3	47.73	33
4 2 2	57.50	14